No. 1
The following is a theoretical PXRD pattern of Li2Hf2AlGaIr2. It was derived from DFT lattice parameters and positions (GGA-PBE), using λ = 1.5418 Å (Cu Kα).

Cell: 4.4411 4.4411 6.2844 Å, 90.00 90.00 90.00°
Sites, in units of the cell vectors:
Li 0.0000 0.5000 0.2485
Li 0.5000 0.0000 0.7515
Hf 0.0000 0.0000 0.0000
Hf 0.5000 0.5000 0.5000
Al 0.0000 0.0000 0.5000
Ga 0.5000 0.5000 0.0000
Ir 0.0000 0.5000 0.7456
Ir 0.5000 0.0000 0.2544

Largest 8 diffraction maxima, sorted by position, 5 to 70 degrees two-theta:
index	Position (°2θ)	I/Imax
1 0 0	19.99	1
1 0 1	24.54	69
0 0 2	28.42	1
1 1 1	31.86	1
2 0 0	40.62	100
2 1 1	48.04	35
2 2 0	58.80	17
3 0 1	64.68	15

No. 2
The following is a theoretical PXRD pattern of Li2Hf2AlGaNi2. It was derived from DFT lattice parameters and positions (GGA-PBE), using λ = 1.5418 Å (Cu Kα).

Cell: 4.3091 4.3091 6.0950 Å, 90.00 90.00 90.00°
Sites, in units of the cell vectors:
Li 0.0000 0.5000 0.2481
Li 0.5000 0.0000 0.7519
Hf 0.0000 0.0000 0.0000
Hf 0.5000 0.5000 0.5000
Al 0.0000 0.0000 0.5000
Ga 0.5000 0.5000 0.0000
Ni 0.0000 0.5000 0.7476
Ni 0.5000 0.0000 0.2524

Largest 10 diffraction maxima, sorted by position, 5 to 70 degrees two-theta:
index	Position (°2θ)	I/Imax
0 0 1	14.53	1
1 0 0	20.61	1
1 0 1	25.31	56
1 1 0	29.31	36
2 0 0	41.93	100
2 1 1	49.61	27
2 0 2	51.98	10
2 2 0	60.79	16
3 0 1	66.92	11
3 1 0	68.90	13